Structure and computed powder X-ray diffraction pattern of Li7Mn4CoO12 (DFT lattice parameters and positions (GGA+U); a wavelength of 1.5418 Å).
Intensities are scaled so that the largest is 100.

Cell and atoms:
Lattice parameters (Å, degrees): 5.0422 5.0829 8.9358 91.73 92.38 107.80
Space group P1 (No. 1)
One atom of each set of equivalent atoms:
Li 0.0000 0.0000 0.0000
Li 0.0041 0.5082 0.8409
Li 0.0110 0.0108 0.3387
Li 0.4883 0.9968 0.5235
Li 0.5042 0.0071 0.1679
Li 0.5166 0.0184 0.8322
Li 0.9963 0.0077 0.6871
Mn 0.9996 0.4998 0.5177
Mn 0.0100 0.5113 0.1670
Mn 0.5003 0.4997 0.6850
Mn 0.5019 0.5076 0.3400
Co 0.5173 0.5156 0.0006
O 0.2458 0.2677 0.5212
O 0.2473 0.7164 0.0231
O 0.2489 0.2758 0.1824
O 0.2524 0.7315 0.6682
O 0.2568 0.7403 0.3315
O 0.2911 0.2884 0.8387
O 0.7300 0.7196 0.5149
O 0.7317 0.2684 0.6750
O 0.7333 0.7458 0.8351
O 0.7511 0.2795 0.0198
O 0.7683 0.7411 0.1638
O 0.7746 0.2970 0.3333

Most intense lines, 15 to 90 degrees two-theta, sorted by position:
hkl, 2θ/deg, I/Imax
0 1 0, 18.35, 100
1 0 -3, 34.65, 17
1 0 3, 36.38, 24
1 1 -3, 41.60, 33
1 1 3, 44.32, 56
2 1 0, 47.21, 9
2 -3 0, 58.40, 9
2 2 0, 62.36, 16
-3 1 3, 62.45, 16
-1 3 3, 64.07, 7

***

Structure and computed powder X-ray diffraction pattern of Li5Mn2CoO8 (DFT lattice parameters and positions (GGA+U); a wavelength of 1.5418 Å).
Intensities are scaled so that the largest is 100.

Cell and atoms:
Lattice parameters (Å, degrees): 2.9009 6.4931 7.8159 85.89 80.53 77.10
Space group P-1 (No. 2)
One atom of each set of equivalent atoms:
Li 0.0000 0.0000 0.0000
Li 0.1047 0.1188 0.6407
Li 0.3810 0.3570 0.8755
Mn 0.2681 0.2399 0.2425
Co 0.5000 0.5000 0.5000
O 0.0872 0.5473 0.3228
O 0.1953 0.6893 0.9155
O 0.2871 0.8007 0.5856
O 0.4300 0.9594 0.1943

Most intense lines, 15 to 90 degrees two-theta, sorted by position:
hkl, 2θ/deg, I/Imax
0 1 1, 17.82, 10
0 1 -1, 18.47, 100
1 0 -1, 35.82, 12
0 2 2, 36.08, 16
1 1 2, 36.47, 12
1 1 -2, 43.15, 32
1 0 3, 44.11, 60
0 1 -5, 62.55, 9
1 3 4, 64.15, 16
2 1 1, 64.24, 9

***

Structure and computed powder X-ray diffraction pattern of Li7Mn2Co3O12 (DFT lattice parameters and positions (GGA+U); a wavelength of 1.5418 Å).
Intensities are scaled so that the largest is 100.

Cell and atoms:
Lattice parameters (Å, degrees): 2.9810 7.6052 10.1417 72.83 88.76 80.79
Space group P1 (No. 1)
One atom of each set of equivalent atoms:
Li 0.0000 0.0000 0.0000
Li 0.0080 0.9932 0.4975
Li 0.1770 0.6585 0.2547
Li 0.3176 0.3430 0.4913
Li 0.3392 0.3284 0.9950
Li 0.6574 0.6678 0.0002
Li 0.6660 0.6633 0.4864
Mn 0.5006 0.9983 0.7465
Mn 0.8280 0.3381 0.2463
Co 0.1724 0.6600 0.7468
Co 0.5010 0.9866 0.2421
Co 0.8262 0.3327 0.7459
O 0.0959 0.8522 0.3591
O 0.1198 0.8249 0.8661
O 0.2107 0.4983 0.6312
O 0.2778 0.4754 0.1369
O 0.3925 0.1756 0.3477
O 0.4433 0.1692 0.8597
O 0.5653 0.8511 0.1289
O 0.5891 0.8328 0.6306
O 0.7417 0.4956 0.8603
O 0.7615 0.4823 0.3644
O 0.8857 0.1673 0.6322
O 0.8907 0.1596 0.1356

Most intense lines, 15 to 90 degrees two-theta, sorted by position:
hkl, 2θ/deg, I/Imax
0 0 2, 18.32, 100
1 -1 0, 34.78, 18
1 2 0, 36.25, 13
0 3 2, 36.68, 11
1 -1 2, 41.76, 34
1 2 -2, 43.96, 28
0 3 4, 44.71, 26
0 3 -4, 62.11, 8
2 1 0, 62.38, 8
1 2 6, 62.73, 8